[1]
For Cs2GaBr6O, a structure optimized by DFT (GGA-PBE) gives the simulated powder X-ray diffraction pattern in this record (Cu Ka).
No peak broadening, texture or thermal motion is included.

Most intense lines, 2θ = 10–90°, low angle first:
2θ = 22.8°, d = 3.896 Å, rel. 16
2θ = 28.4°, d = 3.142 Å, rel. 100
2θ = 31.2°, d = 2.863 Å, rel. 29
2θ = 33.7°, d = 2.658 Å, rel. 53
2θ = 46.6°, d = 1.948 Å, rel. 37
2θ = 48.4°, d = 1.880 Å, rel. 19
2θ = 53.9°, d = 1.702 Å, rel. 13
2θ = 57.1°, d = 1.613 Å, rel. 27
2θ = 58.8°, d = 1.571 Å, rel. 19
2θ = 75.4°, d = 1.261 Å, rel. 16

Structure:
```
Cs2GaBr6O
1.0
-3.7592 3.7592 5.7260
3.7592 -3.7592 5.7260
3.7592 3.7592 -5.7260
Cs Ga Br O
2 1 6 1
Cartesian
3.7592 0.0000 2.8630 Cs
0.0000 3.7592 2.8630 Cs
0.0000 0.0000 0.0000 Ga
0.0000 0.0000 2.5282 Br
1.8535 1.8535 0.0000 Br
1.9056 -1.9056 5.7260 Br
-1.9056 1.9056 5.7260 Br
1.9056 1.9056 5.7260 Br
0.0000 0.0000 8.9237 Br
0.0000 0.0000 5.7260 O
```

[2]
For CsV2GaBr8, a structure optimized by DFT (GGA-PBE) gives the simulated powder X-ray diffraction pattern in this record (Cu Ka).
No peak broadening, texture or thermal motion is included.

Most intense lines, 2θ = 10–90°, low angle first:
2θ = 18.4°, d = 4.828 Å, rel. 31
2θ = 25.9°, d = 3.444 Å, rel. 33
2θ = 26.5°, d = 3.369 Å, rel. 100
2θ = 30.5°, d = 2.934 Å, rel. 77
2θ = 43.3°, d = 2.091 Å, rel. 42
2θ = 44.0°, d = 2.058 Å, rel. 43
2θ = 51.1°, d = 1.788 Å, rel. 14
2θ = 51.8°, d = 1.766 Å, rel. 26
2θ = 52.1°, d = 1.756 Å, rel. 13
2θ = 54.5°, d = 1.685 Å, rel. 13

Structure:
```
CsV2GaBr8
1.0
3.5641 2.0577 10.3313
-3.5641 2.0577 10.3313
0.0000 -4.1154 10.3313
Cs V Ga Br
1 2 1 8
Cartesian
0.0000 0.0000 0.0000 Cs
0.0000 0.0000 7.7717 V
0.0000 0.0000 23.2222 V
0.0000 0.0000 15.4970 Ga
-2.5377 -0.0279 13.6227 Br
-1.2447 -2.2116 17.3712 Br
0.0000 0.0000 10.1498 Br
1.2930 -2.1837 13.6227 Br
-1.2930 2.1837 17.3712 Br
0.0000 0.0000 20.8441 Br
1.2447 2.2116 13.6227 Br
2.5377 0.0279 17.3712 Br
```

[3]
For Cs4GeBr6, a structure optimized by DFT (GGA-PBE) gives the simulated powder X-ray diffraction pattern in this record (Cu Ka).
No peak broadening, texture or thermal motion is included.

Most intense lines, 2θ = 10–90°, low angle first:
2θ = 12.4°, d = 7.123 Å, rel. 23
2θ = 20.2°, d = 4.400 Å, rel. 12
2θ = 26.6°, d = 3.349 Å, rel. 100
2θ = 28.7°, d = 3.111 Å, rel. 42
2θ = 31.0°, d = 2.885 Å, rel. 16
2θ = 34.8°, d = 2.581 Å, rel. 22
2θ = 37.7°, d = 2.386 Å, rel. 15
2θ = 45.7°, d = 1.987 Å, rel. 21
2θ = 57.5°, d = 1.603 Å, rel. 20
2θ = 59.1°, d = 1.563 Å, rel. 13

Structure:
```
Cs4GeBr6
1.0
9.8384 0.0000 0.0000
0.0000 9.8384 0.0000
0.0000 0.0000 10.3248
Cs Ge Br
8 2 12
Cartesian
1.6974 3.2218 2.5812 Cs
1.6974 3.2218 7.7436 Cs
3.2218 8.1410 2.5812 Cs
3.2218 8.1410 7.7436 Cs
6.6166 1.6974 2.5812 Cs
6.6166 1.6974 7.7436 Cs
8.1410 6.6166 2.5812 Cs
8.1410 6.6166 7.7436 Cs
0.0000 0.0000 0.0000 Ge
4.9192 4.9192 5.1624 Ge
0.0000 0.0000 2.8401 Br
0.0000 0.0000 7.4847 Br
0.8647 7.0504 0.0000 Br
2.1311 5.7839 5.1624 Br
2.7881 0.8647 0.0000 Br
4.0545 2.1311 5.1624 Br
4.9192 4.9192 2.3223 Br
4.9192 4.9192 8.0025 Br
5.7839 7.7073 5.1624 Br
7.0504 8.9737 0.0000 Br
7.7073 4.0545 5.1624 Br
8.9737 2.7881 0.0000 Br
```

[4]
For Cs4GeBr5, a structure optimized by DFT (GGA-PBE) gives the simulated powder X-ray diffraction pattern in this record (Cu Ka).
No peak broadening, texture or thermal motion is included.

Most intense lines, 2θ = 10–90°, low angle first:
2θ = 21.6°, d = 4.118 Å, rel. 17
2θ = 24.1°, d = 3.687 Å, rel. 61
2θ = 25.4°, d = 3.511 Å, rel. 100
2θ = 35.3°, d = 2.542 Å, rel. 83
2θ = 36.2°, d = 2.483 Å, rel. 33
2θ = 44.0°, d = 2.059 Å, rel. 37
2θ = 56.4°, d = 1.632 Å, rel. 21
2θ = 58.2°, d = 1.585 Å, rel. 13
2θ = 62.8°, d = 1.480 Å, rel. 13
2θ = 64.5°, d = 1.445 Å, rel. 16

Structure:
```
Cs4GeBr5
1.0
-5.5513 5.5513 3.6865
5.5513 -5.5513 3.6865
5.5513 5.5513 -3.6865
Cs Ge Br
4 1 5
Cartesian
7.8326 1.0229 0.0000 Cs
1.0229 3.2701 0.0000 Cs
4.5284 2.2813 3.6865 Cs
-2.2813 4.5284 3.6865 Cs
0.0000 0.0000 3.7233 Ge
0.0000 0.0000 0.1186 Br
4.6153 2.6816 0.0097 Br
2.8697 -0.9361 3.6962 Br
2.6816 6.4874 0.0097 Br
0.9361 2.8697 3.6962 Br
```

[5]
For Cs3GeBr6, a structure optimized by DFT (GGA-PBE) gives the simulated powder X-ray diffraction pattern in this record (Cu Ka).
No peak broadening, texture or thermal motion is included.

Most intense lines, 2θ = 10–90°, low angle first:
2θ = 16.6°, d = 5.333 Å, rel. 21
2θ = 19.0°, d = 4.676 Å, rel. 100
2θ = 19.5°, d = 4.563 Å, rel. 41
2θ = 26.3°, d = 3.394 Å, rel. 46
2θ = 28.0°, d = 3.187 Å, rel. 72
2θ = 29.0°, d = 3.080 Å, rel. 35
2θ = 31.5°, d = 2.836 Å, rel. 23
2θ = 32.0°, d = 2.797 Å, rel. 30
2θ = 32.2°, d = 2.782 Å, rel. 20
2θ = 36.4°, d = 2.467 Å, rel. 20

Structure:
```
Cs3GeBr6
1.0
7.1827 -8.6158 0.0000
7.1827 8.6158 0.0000
0.0000 0.0000 8.8127
Cs Ge Br
6 2 12
Cartesian
7.1827 7.2796 4.4064 Cs
4.3249 1.6854 3.7717 Cs
4.3249 -1.6854 8.1781 Cs
10.0405 1.6854 3.7717 Cs
10.0405 -1.6854 8.1781 Cs
7.1827 -7.2796 0.0000 Cs
7.1827 3.1846 7.5113 Ge
7.1827 -3.1846 3.1050 Ge
5.2184 4.3373 6.5127 Br
2.4013 0.4855 6.3341 Br
2.4013 -0.4855 1.9277 Br
7.1827 3.1617 1.2150 Br
9.1470 4.3373 6.5127 Br
7.1827 0.8747 6.5424 Br
7.1827 -0.8747 2.1360 Br
5.2184 -4.3373 2.1064 Br
7.1827 -3.1617 5.6214 Br
11.9641 0.4855 6.3341 Br
11.9641 -0.4855 1.9277 Br
9.1470 -4.3373 2.1064 Br
```

[6]
For CsGe6Br12, a structure optimized by DFT (GGA-PBE) gives the simulated powder X-ray diffraction pattern in this record (Cu Ka).
No peak broadening, texture or thermal motion is included.

Most intense lines, 2θ = 10–90°, low angle first:
2θ = 20.5°, d = 4.331 Å, rel. 64
2θ = 25.5°, d = 3.499 Å, rel. 32
2θ = 26.9°, d = 3.317 Å, rel. 99
2θ = 28.8°, d = 3.103 Å, rel. 55
2θ = 32.1°, d = 2.790 Å, rel. 34
2θ = 33.7°, d = 2.659 Å, rel. 71
2θ = 37.0°, d = 2.432 Å, rel. 56
2θ = 39.8°, d = 2.268 Å, rel. 100
2θ = 45.7°, d = 1.983 Å, rel. 27
2θ = 50.6°, d = 1.802 Å, rel. 44

Structure:
```
CsGe6Br12
1.0
7.2948 4.2117 3.4281
-7.2948 4.2117 3.4281
0.0000 -8.4233 3.4281
Cs Ge Br
1 6 12
Cartesian
0.0000 0.0000 0.0000 Cs
0.0000 -3.0696 3.5603 Ge
-2.6584 1.5348 3.5603 Ge
-2.6584 -1.5348 6.7242 Ge
2.6584 1.5348 3.5603 Ge
2.6584 -1.5348 6.7242 Ge
0.0000 3.0696 6.7242 Ge
-2.7922 -4.8363 5.1422 Br
-5.5845 0.0000 5.1422 Br
-1.9002 -1.0971 3.4210 Br
1.9002 -1.0971 3.4211 Br
0.0000 2.1942 3.4211 Br
2.7922 -4.8363 5.1422 Br
-2.7922 4.8363 5.1422 Br
0.0000 -2.1942 6.8634 Br
-1.9002 1.0971 6.8634 Br
1.9002 1.0971 6.8634 Br
5.5845 0.0000 5.1422 Br
2.7922 4.8363 5.1422 Br
```

[7]
For CsGeBr3, a structure optimized by DFT (GGA-PBE) gives the simulated powder X-ray diffraction pattern in this record (Cu Ka).
No peak broadening, texture or thermal motion is included.

Most intense lines, 2θ = 10–90°, low angle first:
2θ = 21.6°, d = 4.118 Å, rel. 22
2θ = 22.1°, d = 4.014 Å, rel. 19
2θ = 26.2°, d = 3.408 Å, rel. 27
2θ = 27.1°, d = 3.291 Å, rel. 66
2θ = 31.1°, d = 2.874 Å, rel. 100
2θ = 44.0°, d = 2.059 Å, rel. 35
2θ = 45.2°, d = 2.007 Å, rel. 35
2θ = 52.9°, d = 1.729 Å, rel. 21
2θ = 55.9°, d = 1.646 Å, rel. 18
2θ = 74.6°, d = 1.273 Å, rel. 15

Structure:
```
CsGeBr3
1.0
8.0282 0.0000 0.0000
-4.0141 6.9526 0.0000
0.0000 0.0000 10.2226
Cs Ge Br
3 3 9
Cartesian
0.0000 0.0000 0.0000 Cs
0.0000 4.6351 6.8151 Cs
4.0141 2.3175 3.4075 Cs
0.0000 0.0000 5.3748 Ge
0.0000 4.6351 1.9673 Ge
4.0141 2.3175 8.7824 Ge
0.0000 2.4211 3.2844 Br
-1.9174 5.7421 3.2844 Br
1.9174 1.1070 6.6919 Br
4.0141 0.1035 10.0995 Br
2.0967 3.4246 10.0995 Br
1.9174 5.7421 3.2844 Br
6.1108 1.1070 6.6919 Br
4.0141 4.7386 6.6919 Br
5.9315 3.4246 10.0995 Br
```

[8]
For CsLiGeHBr, a structure optimized by DFT (GGA-PBE) gives the simulated powder X-ray diffraction pattern in this record (Cu Ka).
No peak broadening, texture or thermal motion is included.

Most intense lines, 2θ = 10–90°, low angle first:
2θ = 10.3°, d = 8.583 Å, rel. 55
2θ = 27.1°, d = 3.292 Å, rel. 100
2θ = 27.8°, d = 3.207 Å, rel. 91
2θ = 32.1°, d = 2.790 Å, rel. 71
2θ = 34.3°, d = 2.612 Å, rel. 22
2θ = 34.9°, d = 2.569 Å, rel. 23
2θ = 45.4°, d = 1.998 Å, rel. 30
2θ = 53.8°, d = 1.705 Å, rel. 28
2θ = 53.9°, d = 1.701 Å, rel. 22
2θ = 55.0°, d = 1.669 Å, rel. 27

Structure:
```
CsLiGeHBr
1.0
3.8721 0.0000 0.0000
0.0000 4.0249 0.0000
0.0000 0.0000 17.1655
Cs Li Ge H Br
2 2 2 2 2
Cartesian
0.0000 0.0000 0.0000 Cs
1.9360 2.0124 8.5827 Cs
0.0000 2.0124 13.2644 Li
1.9360 0.0000 4.6816 Li
0.0000 0.0000 11.1452 Ge
1.9360 2.0124 2.5624 Ge
0.0000 0.0000 12.7746 H
1.9360 2.0124 4.1919 H
0.0000 0.0000 6.3333 Br
1.9360 2.0124 14.9161 Br
```

[9]
For CsLiGeHBr, a structure optimized by DFT (GGA-PBE) gives the simulated powder X-ray diffraction pattern in this record (Cu Ka).
No peak broadening, texture or thermal motion is included.

Most intense lines, 2θ = 10–90°, low angle first:
2θ = 10.3°, d = 8.601 Å, rel. 33
2θ = 25.8°, d = 3.447 Å, rel. 50
2θ = 27.7°, d = 3.224 Å, rel. 100
2θ = 31.2°, d = 2.867 Å, rel. 28
2θ = 31.6°, d = 2.832 Å, rel. 53
2θ = 33.5°, d = 2.674 Å, rel. 75
2θ = 42.5°, d = 2.127 Å, rel. 18
2θ = 50.1°, d = 1.820 Å, rel. 27
2θ = 56.6°, d = 1.625 Å, rel. 26
2θ = 57.4°, d = 1.606 Å, rel. 19

Structure:
```
CsLiGeHBr
1.0
3.7624 0.0000 0.0000
0.0000 3.8982 0.0000
0.0000 0.0000 17.2022
Cs Li Ge H Br
2 2 2 2 2
Cartesian
0.0000 0.0000 0.0000 Cs
0.0000 1.9491 8.6011 Cs
0.0000 0.0000 12.7237 Li
0.0000 1.9491 4.1226 Li
1.8812 0.0000 5.5429 Ge
1.8812 1.9491 14.1439 Ge
1.8812 0.0000 7.1935 H
1.8812 1.9491 15.7946 H
1.8812 0.0000 10.9067 Br
1.8812 1.9491 2.3056 Br
```

[10]
For CsLiGeHBr, a structure optimized by DFT (GGA-PBE) gives the simulated powder X-ray diffraction pattern in this record (Cu Ka).
No peak broadening, texture or thermal motion is included.

Most intense lines, 2θ = 10–90°, low angle first:
2θ = 10.7°, d = 8.253 Å, rel. 80
2θ = 24.6°, d = 3.625 Å, rel. 96
2θ = 24.8°, d = 3.588 Å, rel. 100
2θ = 28.4°, d = 3.137 Å, rel. 51
2θ = 30.7°, d = 2.915 Å, rel. 61
2θ = 31.2°, d = 2.863 Å, rel. 62
2θ = 32.0°, d = 2.800 Å, rel. 51
2θ = 32.5°, d = 2.751 Å, rel. 29
2θ = 32.9°, d = 2.726 Å, rel. 41
2θ = 37.7°, d = 2.388 Å, rel. 37

Structure:
```
CsLiGeHBr
1.0
3.5840 0.0000 0.0000
-0.1960 4.7754 0.0000
-0.8668 -2.3004 8.2526
Cs Li Ge H Br
1 1 1 1 1
Cartesian
0.0000 0.0000 0.0000 Cs
2.6388 0.2685 4.4537 Li
1.7607 2.2604 2.6273 Ge
1.8037 3.8549 2.9914 H
0.8336 0.0789 6.2049 Br
```

[11]
For CsLiGeHBr, a structure optimized by DFT (GGA-PBE) gives the simulated powder X-ray diffraction pattern in this record (Cu Ka).
No peak broadening, texture or thermal motion is included.

Most intense lines, 2θ = 10–90°, low angle first:
2θ = 26.1°, d = 3.412 Å, rel. 36
2θ = 28.5°, d = 3.134 Å, rel. 54
2θ = 29.0°, d = 3.076 Å, rel. 100
2θ = 29.4°, d = 3.040 Å, rel. 38
2θ = 30.0°, d = 2.981 Å, rel. 26
2θ = 30.8°, d = 2.906 Å, rel. 43
2θ = 36.4°, d = 2.468 Å, rel. 20
2θ = 37.1°, d = 2.420 Å, rel. 40
2θ = 44.8°, d = 2.023 Å, rel. 33
2θ = 50.8°, d = 1.798 Å, rel. 21

Structure:
```
CsLiGeHBr
1.0
7.0768 0.0000 0.0000
0.0000 3.9325 0.0000
-2.2931 0.0000 9.1202
Cs Li Ge H Br
2 2 2 2 2
Cartesian
0.0000 0.0000 0.0000 Cs
3.5384 1.9662 0.0000 Cs
-1.1887 1.9662 4.9986 Li
2.3497 0.0000 4.9986 Li
1.2338 1.9662 2.7709 Ge
4.7722 0.0000 2.7709 Ge
1.2770 1.9662 4.3802 H
4.8154 0.0000 4.3802 H
0.0170 0.0000 6.4692 Br
3.5553 1.9662 6.4692 Br
```

[12]
For Cs2GeI5Br, a structure optimized by DFT (GGA-PBE) gives the simulated powder X-ray diffraction pattern in this record (Cu Ka).
No peak broadening, texture or thermal motion is included.

Most intense lines, 2θ = 10–90°, low angle first:
2θ = 13.1°, d = 6.767 Å, rel. 14
2θ = 26.3°, d = 3.384 Å, rel. 100
2θ = 30.0°, d = 2.982 Å, rel. 23
2θ = 30.8°, d = 2.905 Å, rel. 46
2θ = 43.5°, d = 2.081 Å, rel. 33
2θ = 44.1°, d = 2.054 Å, rel. 17
2θ = 51.0°, d = 1.790 Å, rel. 13
2θ = 52.1°, d = 1.756 Å, rel. 29
2θ = 54.2°, d = 1.692 Å, rel. 17
2θ = 80.7°, d = 1.191 Å, rel. 10

Structure:
```
Cs2GeI5Br
1.0
-4.1089 4.1089 5.9645
4.1089 -4.1089 5.9645
4.1089 4.1089 -5.9645
Cs Ge I Br
2 1 5 1
Cartesian
4.1089 0.0000 0.0000 Cs
0.0000 4.1089 0.0000 Cs
0.0000 0.0000 3.0035 Ge
2.1375 2.1375 -2.9606 I
1.9714 -1.9714 3.0039 I
0.0000 0.0000 0.1884 I
-1.9714 1.9714 3.0039 I
1.9714 1.9714 3.0039 I
0.0000 0.0000 5.5543 Br
```

[13]
For Cs2GeI2Br2, a structure optimized by DFT (GGA-PBE) gives the simulated powder X-ray diffraction pattern in this record (Cu Ka).
No peak broadening, texture or thermal motion is included.

Most intense lines, 2θ = 10–90°, low angle first:
2θ = 24.7°, d = 3.608 Å, rel. 41
2θ = 25.2°, d = 3.541 Å, rel. 93
2θ = 29.8°, d = 3.002 Å, rel. 100
2θ = 31.3°, d = 2.862 Å, rel. 21
2θ = 33.1°, d = 2.702 Å, rel. 35
2θ = 38.4°, d = 2.343 Å, rel. 24
2θ = 40.6°, d = 2.224 Å, rel. 21
2θ = 40.6°, d = 2.223 Å, rel. 20
2θ = 49.4°, d = 1.846 Å, rel. 24
2θ = 52.2°, d = 1.751 Å, rel. 24

Structure:
```
Cs2GeI2Br2
1.0
18.1024 0.0000 0.0000
0.0000 4.6859 0.0000
-3.5829 0.0000 7.2186
Cs Ge I Br
4 2 4 4
Cartesian
2.3386 0.0000 1.1942 Cs
3.1297 2.3430 6.0244 Cs
11.3898 2.3430 1.1942 Cs
12.1809 0.0000 6.0244 Cs
-1.7914 0.0000 3.6093 Ge
7.2598 2.3430 3.6093 Ge
-2.6581 2.3430 5.4410 I
8.1264 0.0000 1.7776 I
6.3931 0.0000 5.4410 I
17.1776 2.3430 1.7776 I
0.7446 0.0000 4.8104 Br
4.7237 2.3430 2.4082 Br
9.7958 2.3430 4.8104 Br
13.7749 0.0000 2.4082 Br
```